This entry pairs a crystal structure of DySiAg with its computed powder XRD pattern. Radiation: Cu Kα, 1.54184 Å. Structure: a crystal structure in the Materials Project, relaxed with GGA-PBE.
Kinematic intensities with the Lorentz-polarization factor, no thermal factor.

```
data_DySiAg
_space_group_name_H-M_alt 'P -6 2 m'
_space_group_IT_number 189
_space_group_name_Hall 'P -6 -2'
_cell_length_a 7.0549
_cell_length_b 7.0549
_cell_length_c 4.1969
_cell_angle_alpha 90.00
_cell_angle_beta 90.00
_cell_angle_gamma 120.00
loop_
_atom_site_label
_atom_site_fract_x
_atom_site_fract_y
_atom_site_fract_z
Dy1 0.0000 0.4192 0.0000
Si1 0.0000 0.0000 0.0000
Si2 0.3333 0.6667 0.5000
Ag1 0.0000 0.7502 0.5000
```

Peak list (10 most intense, 15° ≤ 2θ ≤ 90°, in order of rising 2θ)
Position (°2θ), I/Imax
25.25, 19
25.75, 21
33.18, 100
36.38, 69
39.00, 52
43.11, 23
54.12, 14
58.76, 31
59.52, 29
70.88, 17

This entry pairs a crystal structure of MgTe4MoW3Se2S2 with its computed powder XRD pattern. Radiation: Cu Kα, 1.54184 Å. Structure: a crystal structure in the Materials Project, relaxed with GGA-PBE.
Kinematic intensities with the Lorentz-polarization factor, no thermal factor.

```
data_MgTe4MoW3Se2S2
_space_group_name_H-M_alt 'C 1 m 1'
_space_group_IT_number 8
_space_group_name_Hall 'C -2y'
_cell_length_a 5.909
_cell_length_b 3.412
_cell_length_c 43.010
_cell_angle_alpha 90.00
_cell_angle_beta 90.21
_cell_angle_gamma 90.00
loop_
_atom_site_label
_atom_site_fract_x
_atom_site_fract_y
_atom_site_fract_z
Mg1 0.000 0.000 0.000
Te1 0.001 0.000 0.227
Te2 0.004 0.000 0.315
Te3 0.168 0.500 0.664
Te4 0.171 0.500 0.751
Mo1 0.002 0.000 0.088
W1 0.003 0.000 0.707
W2 0.169 0.500 0.271
W3 0.170 0.500 0.891
Se1 0.002 0.000 0.853
Se2 0.004 0.000 0.930
S1 0.168 0.500 0.053
S2 0.168 0.500 0.123
```

Peak list (10 most intense, 15° ≤ 2θ ≤ 90°, in order of rising 2θ)
Position (°2θ), I/Imax
30.26, 66
30.54, 19
32.03, 30
34.63, 100
34.70, 18
36.89, 45
40.90, 58
41.00, 56
53.74, 49
54.87, 23

This entry pairs a crystal structure of Ba2La3Ti2Nb2O15 with its computed powder XRD pattern. Radiation: Cu Kα, 1.54184 Å. Structure: a crystal structure in the Materials Project, relaxed with GGA-PBE.
Kinematic intensities with the Lorentz-polarization factor, no thermal factor.

```
data_Ba2La3Ti2Nb2O15
_space_group_name_H-M_alt 'P -3 c 1'
_space_group_IT_number 165
_space_group_name_Hall '-P 3 2"c'
_cell_length_a 5.7224
_cell_length_b 5.7224
_cell_length_c 23.3806
_cell_angle_alpha 90.00
_cell_angle_beta 90.00
_cell_angle_gamma 120.00
loop_
_atom_site_label
_atom_site_fract_x
_atom_site_fract_y
_atom_site_fract_z
Ba1 0.3333 0.6667 0.0368
La1 0.0000 0.0000 0.2500
La2 0.3333 0.6667 0.3560
Ti1 0.3333 0.6667 0.2036
Nb1 0.0000 0.0000 0.0988
O1 0.0000 0.4410 0.2500
O2 0.1019 0.3264 0.6581
O3 0.1359 0.3405 0.4390
```

Peak list (10 most intense, 15° ≤ 2θ ≤ 90°, in order of rising 2θ)
Position (°2θ), I/Imax
29.15, 100
31.26, 86
39.50, 15
43.27, 49
50.33, 20
54.34, 36
55.64, 20
65.21, 16
69.64, 14
72.99, 14